Diffraction record for Ce3AlGe6Pt2. The PXRD pattern is calculated, not measured: it uses the GGA-PBE geometry in Alexandria and λ = 1.5418 Å (Cu Kα).

Most intense lines, 2θ from 10° to 90°, in order of rising 2θ:
2θ/deg  I (rel.)  hkl
10.9  31  0 0 1
28.0  26  0 1 2
30.0  100  1 1 0
32.0  41  1 1 1
33.1  52  0 0 3
36.6  63  0 2 1
37.5  95  1 1 2
41.5  42  2 0 2
45.3  56  1 1 3
58.3  27  0 3 2
62.4  36  2 2 0
72.5  29  2 2 3

Crystal structure
```
Ce3AlGe6Pt2
1.0
5.955 0.000 0.000
-2.977 5.157 0.000
0.000 0.000 8.116
Ce Al Ge Pt
3 1 6 2
Direct
0.000 0.000 0.000
0.333 0.667 0.641
0.667 0.333 0.359
0.000 0.000 0.500
0.188 0.375 0.284
0.188 0.812 0.284
0.375 0.188 0.716
0.625 0.812 0.284
0.812 0.188 0.716
0.812 0.625 0.716
0.333 0.667 0.017
0.667 0.333 0.983
```